# 1
This entry pairs a crystal structure of Zr3SiMo8 with its calculated powder diffractogram. Radiation: Cu Kα. Structure: a cell relaxed with GGA-PBE.

Crystal structure
```
Zr3SiMo8
1.0
5.3660 0.0000 0.0000
-2.6830 4.6471 0.0000
0.0000 0.0000 8.5787
Zr Si Mo
3 1 8
Cartesian
0.0000 0.0000 0.0000
0.0000 0.0000 3.2848
0.0000 3.0981 7.5038
0.0000 3.0981 4.3461
-1.3085 2.3426 1.6594
1.3100 0.7563 5.8590
1.3085 2.3426 1.6594
0.0000 4.6090 1.6594
2.6830 1.5490 3.7447
2.6830 1.5490 8.0158
4.0561 0.7563 5.8590
2.6830 3.1345 5.8590
```

Principal peaks in the range 15 to 90 degrees two-theta, in order of rising 2θ:
2theta	d/Å	I (rel.)
19.10	4.647	16
33.40	2.683	21
36.91	2.435	58
39.62	2.275	100
40.21	2.243	95
42.13	2.145	23
44.34	2.043	28
62.01	1.497	21
63.89	1.457	24
67.91	1.380	29
70.15	1.342	28
85.35	1.137	18

---

# 2
This entry pairs a crystal structure of KNa2TlBr4 with its calculated powder diffractogram. Radiation: Cu Kα. Structure: a cell relaxed with GGA-PBE.

Crystal structure
```
KNa2TlBr4
1.0
7.7530 0.0000 0.0000
0.0000 4.4755 0.0000
-2.5879 0.0000 7.4821
K Na Tl Br
1 2 1 4
Cartesian
0.0000 0.0000 0.0000
-1.2939 2.2377 3.7411
2.5826 0.0000 3.7411
3.8765 2.2377 0.0000
-0.0197 0.0000 5.3796
1.2735 2.2377 2.0803
3.8916 2.2377 5.4019
5.1848 0.0000 2.1025
```

Principal peaks in the range 15 to 90 degrees two-theta, in order of rising 2θ:
2theta	d/Å	I (rel.)
23.16	3.841	7
23.29	3.820	19
27.98	3.189	100
30.47	2.934	18
39.65	2.273	35
40.30	2.238	38
49.77	1.832	20
55.14	1.666	11
57.82	1.595	11
64.98	1.435	13
65.89	1.418	17
72.83	1.299	11

---

# 3
This entry pairs a crystal structure of La3Pm5Ga2 with its calculated powder diffractogram. Radiation: Cu Kα. Structure: a cell relaxed with GGA-PBE.

Crystal structure
```
La3Pm5Ga2
1.0
11.9377 0.0000 0.0000
0.0000 11.9377 0.0000
0.0000 0.0000 4.5812
La Pm Ga
6 10 4
Cartesian
0.0000 0.0000 0.0000
2.0695 3.8994 0.0000
3.8994 9.8683 0.0000
5.9689 5.9689 0.0000
8.0383 2.0695 0.0000
9.8683 8.0383 0.0000
0.0000 5.9689 2.2906
0.8949 9.3635 2.2906
2.5743 0.8949 2.2906
3.3946 6.8638 2.2906
5.0739 3.3946 2.2906
5.9689 0.0000 2.2906
6.8638 8.5431 2.2906
8.5431 5.0739 2.2906
9.3635 11.0428 2.2906
11.0428 2.5743 2.2906
1.4723 7.4412 0.0000
4.4966 1.4723 0.0000
7.4412 10.4654 0.0000
10.4654 4.4966 0.0000
```

Principal peaks in the range 15 to 90 degrees two-theta, in order of rising 2θ:
2theta	d/Å	I (rel.)
25.62	3.477	30
28.76	3.104	23
30.69	2.913	100
30.88	2.895	46
33.39	2.683	40
33.57	2.669	28
39.34	2.291	27
49.98	1.825	12
50.83	1.796	23
52.65	1.738	16
53.03	1.727	13
58.24	1.584	15

---

# 4
This entry pairs a crystal structure of Ac4InNi2 with its calculated powder diffractogram. Radiation: Cu Kα. Structure: a cell relaxed with GGA-PBE.

Crystal structure
```
Ac4InNi2
1.0
2.1099 -7.3737 0.0000
2.1099 7.3737 0.0000
0.0000 0.0000 14.9995
Ac In Ni
8 2 4
Cartesian
0.0000 0.0000 0.0000
0.0000 0.0000 7.4998
2.1099 3.4272 9.1597
2.1099 3.4272 13.3396
2.1099 1.1320 3.7499
2.1099 -1.1320 11.2496
2.1099 -3.4272 1.6599
2.1099 -3.4272 5.8398
2.1099 5.8002 3.7499
2.1099 -5.8002 11.2496
2.1099 1.9644 0.8722
2.1099 1.9644 6.6276
2.1099 -1.9644 8.3719
2.1099 -1.9644 14.1274
```

Principal peaks in the range 15 to 90 degrees two-theta, in order of rising 2θ:
2theta	d/Å	I (rel.)
24.92	3.573	35
26.67	3.342	92
26.95	3.309	21
28.33	3.150	58
28.50	3.131	100
30.35	2.945	36
37.28	2.412	23
41.49	2.176	29
42.86	2.110	28
51.20	1.784	32
51.32	1.780	33
69.78	1.348	22

---

# 5
This entry pairs a crystal structure of K3Pb4Cl12 with its calculated powder diffractogram. Radiation: Cu Kα. Structure: a cell relaxed with GGA-PBE.

Crystal structure
```
K3Pb4Cl12
1.0
-5.5080 5.5080 5.5080
5.5080 -5.5080 5.5080
5.5080 5.5080 -5.5080
K Pb Cl
3 4 12
Cartesian
5.5080 0.0000 0.0000
0.0000 5.5080 0.0000
0.0000 0.0000 5.5080
2.7540 2.7540 -2.7540
2.7540 -2.7540 2.7540
-2.7540 2.7540 2.7540
2.7540 2.7540 2.7540
5.5080 -2.1815 3.1924
3.3265 2.3157 0.0000
7.6896 2.3157 0.0000
3.1924 5.5080 -2.1815
2.3157 0.0000 3.3265
5.5080 2.1815 3.1924
0.0000 3.3265 2.3157
3.1924 5.5080 2.1815
2.3157 0.0000 7.6896
-2.1815 3.1924 5.5080
2.1815 3.1924 5.5080
0.0000 7.6896 2.3157
```

Principal peaks in the range 15 to 90 degrees two-theta, in order of rising 2θ:
2theta	d/Å	I (rel.)
16.09	5.508	100
22.83	3.895	91
32.51	2.754	43
36.48	2.463	58
40.10	2.249	61
46.64	1.947	25
49.66	1.836	25
52.54	1.742	22
55.32	1.661	12
63.16	1.472	29
70.49	1.336	16
72.86	1.298	22

---

# 6
This entry pairs a crystal structure of Na5Sn2Au4 with its calculated powder diffractogram. Radiation: Cu Kα. Structure: a cell relaxed with GGA-PBE.

Crystal structure
```
Na5Sn2Au4
1.0
-2.0642 3.5816 9.8298
2.0642 -3.5816 9.8298
2.0642 3.5816 -9.8298
Na Sn Au
5 2 4
Cartesian
0.0000 0.0000 0.0000
2.0642 -1.5471 7.3460
0.0000 2.0345 2.4838
2.0642 1.5471 7.3460
0.0000 5.1286 2.4838
2.0642 0.0000 4.5618
0.0000 3.5816 5.2680
2.0642 0.0000 1.9046
2.0642 2.2166 0.0000
0.0000 1.3650 9.8298
0.0000 3.5816 7.9252
```

Principal peaks in the range 15 to 90 degrees two-theta, in order of rising 2θ:
2theta	d/Å	I (rel.)
18.35	4.835	28
22.00	4.040	96
24.89	3.577	48
26.50	3.363	41
30.91	2.893	21
35.91	2.501	42
37.21	2.417	100
37.96	2.370	35
40.47	2.229	40
43.83	2.066	58
46.61	1.948	23
58.82	1.570	25